No. 1
Starting from a GGA-PBE-relaxed structure, the powder diffraction line list of YMgAgHg2 was computed for λ = 1.5418 Å (Cu Kα).
No peak broadening, texture or thermal motion is included.

```
YMgAgHg2
1.0
4.989 0.000 0.000
-2.495 4.321 0.000
0.000 0.000 5.743
Y Mg Ag Hg
1 1 1 2
Direct
0.000 0.000 0.000 Y
0.333 0.667 0.624 Mg
0.667 0.333 0.296 Ag
0.333 0.667 0.148 Hg
0.667 0.333 0.781 Hg
```

Principal peaks in the range 10 to 90 degrees two-theta, sorted by position:
2theta, I (rel.)
15.4, 28
20.6, 38
25.8, 57
36.0, 100
37.6, 90
39.4, 17
48.3, 15
53.0, 33
64.7, 18
65.8, 35
68.9, 16
88.4, 16



No. 2
Starting from a GGA-PBE-relaxed structure, the powder diffraction line list of MgZnAg2Hg was computed for λ = 1.5418 Å (Cu Kα).
No peak broadening, texture or thermal motion is included.

```
MgZnAg2Hg
1.0
5.871 0.000 0.000
0.000 4.672 0.000
-2.126 0.000 7.402
Mg Zn Ag Hg
2 2 4 2
Direct
0.049 0.250 0.196 Mg
0.951 0.750 0.804 Mg
0.434 0.750 0.748 Zn
0.566 0.250 0.252 Zn
0.093 0.750 0.431 Ag
0.398 0.250 0.554 Ag
0.602 0.750 0.446 Ag
0.907 0.250 0.569 Ag
0.279 0.250 0.914 Hg
0.721 0.750 0.086 Hg
```

Principal peaks in the range 10 to 90 degrees two-theta, sorted by position:
2theta, I (rel.)
16.9, 35
24.0, 21
24.7, 47
25.5, 52
37.1, 43
37.2, 23
38.5, 63
39.4, 100
41.4, 96
42.0, 27
52.4, 19
54.6, 28



No. 3
Starting from a GGA-PBE-relaxed structure, the powder diffraction line list of Mg3Zn2Ag4Hg2 was computed for λ = 1.5418 Å (Cu Kα).
No peak broadening, texture or thermal motion is included.

```
Mg3Zn2Ag4Hg2
1.0
-2.055 2.055 13.134
2.055 -2.055 13.134
2.055 2.055 -13.134
Mg Zn Ag Hg
3 2 4 2
Direct
0.000 0.000 0.000 Mg
0.198 0.198 0.000 Mg
0.802 0.802 0.000 Mg
0.455 0.455 0.000 Zn
0.545 0.545 0.000 Zn
0.109 0.609 0.500 Ag
0.391 0.891 0.500 Ag
0.609 0.109 0.500 Ag
0.891 0.391 0.500 Ag
0.306 0.306 0.000 Hg
0.694 0.694 0.000 Hg
```

Principal peaks in the range 10 to 90 degrees two-theta, sorted by position:
2theta, I (rel.)
13.5, 39
21.9, 43
23.9, 35
27.6, 52
31.5, 27
33.7, 92
34.1, 31
37.1, 49
41.5, 100
44.1, 74
56.9, 28
79.3, 29



No. 4
Starting from a GGA-PBE-relaxed structure, the powder diffraction line list of Ag2HgMo was computed for λ = 1.5418 Å (Cu Kα).
No peak broadening, texture or thermal motion is included.

```
Ag2HgMo
1.0
-2.111 2.111 4.134
2.111 -2.111 4.134
2.111 2.111 -4.134
Ag Hg Mo
2 1 1
Direct
0.250 0.750 0.500 Ag
0.750 0.250 0.500 Ag
0.000 0.000 0.000 Hg
0.500 0.500 0.000 Mo
```

Principal peaks in the range 10 to 90 degrees two-theta, sorted by position:
2theta, I (rel.)
23.7, 11
37.1, 100
39.0, 3
42.8, 33
43.8, 16
49.5, 4
59.3, 2
62.2, 11
62.9, 21
74.7, 25
76.1, 12
79.1, 11



No. 5
Starting from a GGA-PBE-relaxed structure, the powder diffraction line list of AgHgPtN2 was computed for λ = 1.5418 Å (Cu Kα).
No peak broadening, texture or thermal motion is included.

```
AgHgPtN2
1.0
3.996 0.000 0.000
0.000 3.996 0.000
0.000 0.000 6.189
Ag Hg Pt N
1 1 1 2
Direct
0.000 0.000 0.000 Ag
0.000 0.000 0.500 Hg
0.500 0.500 0.500 Pt
0.000 0.500 0.000 N
0.500 0.000 0.000 N
```

Principal peaks in the range 10 to 90 degrees two-theta, sorted by position:
2theta, I (rel.)
14.3, 84
28.9, 80
31.7, 100
34.9, 64
43.4, 86
45.4, 46
47.8, 19
54.7, 52
69.2, 22
73.7, 21
78.1, 19
82.4, 30



No. 6
Starting from a GGA-PBE-relaxed structure, the powder diffraction line list of AgHgSeN2 was computed for λ = 1.5418 Å (Cu Kα).
No peak broadening, texture or thermal motion is included.

```
AgHgSeN2
1.0
4.136 0.000 0.000
0.000 4.136 0.000
0.000 0.000 5.865
Ag Hg Se N
1 1 1 2
Direct
0.000 0.000 0.000 Ag
0.500 0.500 0.500 Hg
0.000 0.000 0.500 Se
0.000 0.500 0.000 N
0.500 0.000 0.000 N
```

Principal peaks in the range 10 to 90 degrees two-theta, sorted by position:
2theta, I (rel.)
15.1, 21
26.4, 71
30.5, 100
34.3, 25
43.7, 75
51.7, 11
51.8, 22
54.3, 30
70.1, 14
72.1, 11
72.2, 23
80.4, 16



No. 7
Starting from a GGA-PBE-relaxed structure, the powder diffraction line list of Na2AgHg4 was computed for λ = 1.5418 Å (Cu Kα).
No peak broadening, texture or thermal motion is included.

```
Na2AgHg4
1.0
2.182 -11.600 0.000
2.182 11.600 0.000
0.000 0.000 3.479
Na Ag Hg
2 1 4
Direct
0.068 0.932 0.000 Na
0.932 0.068 0.000 Na
0.500 0.500 0.500 Ag
0.205 0.795 0.000 Hg
0.366 0.634 0.500 Hg
0.634 0.366 0.500 Hg
0.795 0.205 0.000 Hg
```

Principal peaks in the range 10 to 90 degrees two-theta, sorted by position:
2theta, I (rel.)
20.7, 21
26.8, 32
28.1, 42
29.9, 33
33.2, 77
34.0, 100
35.0, 58
40.5, 48
41.4, 34
59.3, 31
64.1, 33
70.0, 27



No. 8
Starting from a GGA-PBE-relaxed structure, the powder diffraction line list of Na7Ag2Hg2 was computed for λ = 1.5418 Å (Cu Kα).
No peak broadening, texture or thermal motion is included.

```
Na7Ag2Hg2
1.0
4.173 -4.568 0.000
4.173 4.568 0.000
-2.173 0.000 7.794
Na Ag Hg
7 2 2
Direct
0.000 0.000 0.000 Na
0.096 0.482 0.802 Na
0.163 0.163 0.433 Na
0.482 0.096 0.802 Na
0.518 0.904 0.198 Na
0.837 0.837 0.567 Na
0.904 0.518 0.198 Na
0.329 0.671 0.500 Ag
0.671 0.329 0.500 Ag
0.390 0.390 0.168 Hg
0.610 0.610 0.832 Hg
```

Principal peaks in the range 10 to 90 degrees two-theta, sorted by position:
2theta, I (rel.)
14.7, 100
16.7, 15
20.3, 22
22.0, 30
22.6, 21
24.6, 16
33.7, 73
33.9, 34
34.5, 68
34.7, 22
36.2, 15
37.3, 32



No. 9
Starting from a GGA-PBE-relaxed structure, the powder diffraction line list of NaAgHg2 was computed for λ = 1.5418 Å (Cu Kα).
No peak broadening, texture or thermal motion is included.

```
NaAgHg2
1.0
5.095 0.000 0.000
0.000 6.882 0.000
0.000 0.000 5.107
Na Ag Hg
2 2 4
Direct
0.250 0.250 0.215 Na
0.750 0.750 0.785 Na
0.250 0.750 0.222 Ag
0.750 0.250 0.778 Ag
0.250 0.503 0.720 Hg
0.250 0.997 0.720 Hg
0.750 0.003 0.280 Hg
0.750 0.497 0.280 Hg
```

Principal peaks in the range 10 to 90 degrees two-theta, sorted by position:
2theta, I (rel.)
21.7, 10
24.7, 31
25.9, 14
35.2, 52
36.1, 100
44.2, 14
50.6, 17
63.7, 14
63.8, 19
65.4, 17
76.5, 10
89.7, 10



No. 10
Starting from a GGA-PBE-relaxed structure, the powder diffraction line list of Na5Ag5Hg was computed for λ = 1.5418 Å (Cu Kα).
No peak broadening, texture or thermal motion is included.

```
Na5Ag5Hg
1.0
5.591 0.000 0.000
-2.796 4.842 0.000
0.000 0.000 10.332
Na Ag Hg
5 5 1
Direct
0.000 0.000 0.000 Na
0.333 0.667 0.331 Na
0.333 0.667 0.669 Na
0.667 0.333 0.208 Na
0.667 0.333 0.792 Na
0.000 0.000 0.275 Ag
0.000 0.000 0.725 Ag
0.338 0.169 0.500 Ag
0.831 0.169 0.500 Ag
0.831 0.662 0.500 Ag
0.333 0.667 0.000 Hg
```

Principal peaks in the range 10 to 90 degrees two-theta, sorted by position:
2theta, I (rel.)
17.2, 23
20.3, 100
25.2, 35
31.9, 48
32.0, 38
33.2, 30
34.7, 29
37.1, 29
41.2, 81
41.6, 40
47.9, 28
57.0, 24



No. 11
Starting from a GGA-PBE-relaxed structure, the powder diffraction line list of Na12AgHg2 was computed for λ = 1.5418 Å (Cu Kα).
No peak broadening, texture or thermal motion is included.

```
Na12AgHg2
1.0
6.557 0.000 0.000
0.000 6.557 0.000
0.000 0.000 24.555
Na Ag Hg
24 2 4
Direct
0.000 0.000 0.080 Na
0.000 0.000 0.920 Na
0.000 0.500 0.080 Na
0.000 0.500 0.920 Na
0.068 0.568 0.434 Na
0.068 0.932 0.566 Na
0.250 0.250 0.193 Na
0.250 0.250 0.321 Na
0.250 0.250 0.679 Na
0.250 0.250 0.807 Na
0.432 0.568 0.566 Na
0.432 0.932 0.434 Na
0.500 0.000 0.080 Na
0.500 0.000 0.920 Na
0.500 0.500 0.080 Na
0.500 0.500 0.920 Na
0.568 0.068 0.566 Na
0.568 0.432 0.434 Na
0.750 0.750 0.193 Na
0.750 0.750 0.321 Na
0.750 0.750 0.679 Na
0.750 0.750 0.807 Na
0.932 0.068 0.434 Na
0.932 0.432 0.566 Na
0.250 0.750 0.000 Ag
0.750 0.250 0.000 Ag
0.250 0.750 0.242 Hg
0.250 0.750 0.758 Hg
0.750 0.250 0.242 Hg
0.750 0.250 0.758 Hg
```

Principal peaks in the range 10 to 90 degrees two-theta, sorted by position:
2theta, I (rel.)
14.4, 63
19.1, 61
24.1, 100
27.2, 29
28.2, 54
29.1, 33
30.9, 63
35.1, 46
38.8, 32
41.6, 28
46.2, 38
53.3, 33



No. 12
Starting from a GGA-PBE-relaxed structure, the powder diffraction line list of Na12Ag2Hg was computed for λ = 1.5418 Å (Cu Kα).
No peak broadening, texture or thermal motion is included.

```
Na12Ag2Hg
1.0
6.602 0.000 0.000
0.000 6.602 0.000
0.000 0.000 25.108
Na Ag Hg
24 4 2
Direct
0.000 0.000 0.083 Na
0.000 0.000 0.917 Na
0.000 0.500 0.083 Na
0.000 0.500 0.917 Na
0.068 0.568 0.435 Na
0.068 0.932 0.565 Na
0.250 0.250 0.192 Na
0.250 0.250 0.325 Na
0.250 0.250 0.675 Na
0.250 0.250 0.808 Na
0.432 0.568 0.565 Na
0.432 0.932 0.435 Na
0.500 0.000 0.083 Na
0.500 0.000 0.917 Na
0.500 0.500 0.083 Na
0.500 0.500 0.917 Na
0.568 0.068 0.565 Na
0.568 0.432 0.435 Na
0.750 0.750 0.192 Na
0.750 0.750 0.325 Na
0.750 0.750 0.675 Na
0.750 0.750 0.808 Na
0.932 0.068 0.435 Na
0.932 0.432 0.565 Na
0.250 0.750 0.168 Ag
0.250 0.750 0.832 Ag
0.750 0.250 0.168 Ag
0.750 0.250 0.832 Ag
0.250 0.750 0.000 Hg
0.750 0.250 0.000 Hg
```

Principal peaks in the range 10 to 90 degrees two-theta, sorted by position:
2theta, I (rel.)
17.7, 26
19.0, 61
19.3, 90
26.1, 49
27.0, 29
27.2, 35
28.6, 44
31.5, 38
32.5, 43
34.6, 100
38.6, 39
43.5, 31



No. 13
Starting from a GGA-PBE-relaxed structure, the powder diffraction line list of Na7AgHg2 was computed for λ = 1.5418 Å (Cu Kα).
No peak broadening, texture or thermal motion is included.

```
Na7AgHg2
1.0
5.255 0.000 0.000
-2.627 4.551 0.000
0.000 0.000 12.773
Na Ag Hg
7 1 2
Direct
0.000 0.000 0.000 Na
0.000 0.000 0.253 Na
0.000 0.000 0.733 Na
0.333 0.667 0.396 Na
0.333 0.667 0.886 Na
0.667 0.333 0.122 Na
0.667 0.333 0.580 Na
0.333 0.667 0.140 Ag
0.000 0.000 0.492 Hg
0.667 0.333 0.847 Hg
```

Principal peaks in the range 10 to 90 degrees two-theta, sorted by position:
2theta, I (rel.)
20.7, 100
20.9, 31
24.0, 45
34.1, 57
34.3, 56
40.3, 54
40.5, 14
42.2, 11
49.2, 20
53.8, 16
61.2, 21
75.7, 12